Diffraction record for Ba3Na3C5O15. The X-ray powder pattern is computed, not measured: it uses a crystal structure in the Materials Project, relaxed with PBE and λ = 1.5418 Å (Cu Kα).
Peak positions follow from Bragg's law for the DFT cell and can differ from measured ones.

Crystal structure
```
Ba3Na3C5O15
1.0
11.0446 0.0000 0.0000
-5.5223 9.5649 0.0000
0.0000 0.0000 6.8912
Ba Na C O
6 6 10 30
Direct
0.1585 0.3170 0.0000
0.1585 0.8415 0.0000
0.3170 0.1585 0.5000
0.6830 0.8415 0.0000
0.8415 0.1585 0.5000
0.8415 0.6830 0.5000
0.0500 0.5250 0.6844
0.4750 0.5250 0.6844
0.4750 0.9500 0.6844
0.5250 0.0500 0.1844
0.5250 0.4750 0.1844
0.9500 0.4750 0.1844
0.0000 0.0000 0.1731
0.0000 0.0000 0.6731
0.2055 0.4110 0.4652
0.2055 0.7945 0.4652
0.3333 0.6667 0.0071
0.4110 0.2055 0.9652
0.5890 0.7945 0.4652
0.6667 0.3333 0.5071
0.7945 0.2055 0.9652
0.7945 0.5890 0.9652
0.0678 0.1357 0.6704
0.0678 0.9322 0.6704
0.0916 0.3877 0.3767
0.0916 0.7039 0.3767
0.1357 0.0678 0.1704
0.1976 0.5988 0.0072
0.2285 0.4570 0.6411
0.2285 0.7715 0.6411
0.2961 0.3877 0.3767
0.2961 0.9084 0.3767
0.3877 0.0916 0.8767
0.3877 0.2961 0.8767
0.4012 0.5988 0.0072
0.4012 0.8024 0.0072
0.4570 0.2285 0.1411
0.5430 0.7715 0.6411
0.5988 0.1976 0.5072
0.5988 0.4012 0.5072
0.6123 0.7039 0.3767
0.6123 0.9084 0.3767
0.7039 0.0916 0.8767
0.7039 0.6123 0.8767
0.7715 0.2285 0.1411
0.7715 0.5430 0.1411
0.8024 0.4012 0.5072
0.8643 0.9322 0.6704
0.9084 0.2961 0.8767
0.9084 0.6123 0.8767
0.9322 0.0678 0.1704
0.9322 0.8643 0.1704
```

Top 6 peaks for 10 to 90 degrees two-theta, low angle first:
2θ/deg  intensity
22.6  100
27.9  66
32.0  64
32.4  68
39.9  70
41.9  48



Diffraction record for BaNa6ThC6O24. The X-ray powder pattern is computed, not measured: it uses a crystal structure in the Materials Project, relaxed with PBE and λ = 1.5418 Å (Cu Kα).
Peak positions follow from Bragg's law for the DFT cell and can differ from measured ones.

Crystal structure
```
BaNa6ThC6O24
1.0
6.9434 4.0088 2.8931
-6.9434 4.0088 2.8931
0.0000 -8.0176 2.8931
Ba Na Th C O
1 6 1 6 24
Direct
0.0000 0.0000 0.0000
0.0367 0.5499 0.3037
0.3037 0.0367 0.5499
0.4501 0.6963 0.9633
0.5499 0.3037 0.0367
0.6963 0.9633 0.4501
0.9633 0.4501 0.6963
0.5000 0.5000 0.5000
0.1266 0.2847 0.4846
0.2847 0.4846 0.1266
0.4846 0.1266 0.2847
0.5154 0.8734 0.7153
0.7153 0.5154 0.8734
0.8734 0.7153 0.5154
0.0262 0.8143 0.5173
0.1027 0.7740 0.1714
0.1714 0.1027 0.7740
0.1857 0.4827 0.9738
0.2019 0.4683 0.5632
0.2066 0.4099 0.2106
0.2106 0.2066 0.4099
0.2260 0.8286 0.8973
0.4099 0.2106 0.2066
0.4368 0.7981 0.5317
0.4683 0.5632 0.2019
0.4827 0.9738 0.1857
0.5173 0.0262 0.8143
0.5317 0.4368 0.7981
0.5632 0.2019 0.4683
0.5901 0.7894 0.7934
0.7740 0.1714 0.1027
0.7894 0.7934 0.5901
0.7934 0.5901 0.7894
0.7981 0.5317 0.4368
0.8143 0.5173 0.0262
0.8286 0.8973 0.2260
0.8973 0.2260 0.8286
0.9738 0.1857 0.4827
```

Top 6 peaks for 10 to 90 degrees two-theta, low angle first:
2θ/deg  intensity
12.7  100
22.2  32
25.3  31
28.4  40
34.2  36
38.7  43



Diffraction record for BaCO3. The X-ray powder pattern is computed, not measured: it uses a crystal structure in the Materials Project, relaxed with PBE and λ = 1.5418 Å (Cu Kα).
Peak positions follow from Bragg's law for the DFT cell and can differ from measured ones.

Crystal structure
```
BaCO3
1.0
4.4862 0.0000 0.0000
0.0000 7.0609 0.0000
0.0000 0.0000 5.4667
Ba C O
2 2 6
Direct
0.0000 0.0000 0.0000
0.5000 0.5000 0.5000
0.0000 0.5000 0.0107
0.5000 0.0000 0.5107
0.0000 0.5000 0.7729
0.1353 0.3663 0.1396
0.3647 0.8663 0.6396
0.5000 0.0000 0.2729
0.6353 0.1337 0.6396
0.8647 0.6337 0.1396
```

Top 6 peaks for 10 to 90 degrees two-theta, low angle first:
2θ/deg  intensity
20.5  67
25.2  50
25.7  100
36.3  64
40.7  44
41.8  37



Diffraction record for BaCO3. The X-ray powder pattern is computed, not measured: it uses a crystal structure in the Materials Project, relaxed with PBE and λ = 1.5418 Å (Cu Kα).
Peak positions follow from Bragg's law for the DFT cell and can differ from measured ones.

Crystal structure
```
BaCO3
1.0
4.1868 0.0000 0.0000
0.0000 7.2952 0.0000
0.0000 0.0000 5.4662
Ba C O
2 2 6
Direct
0.0000 0.0000 0.0000
0.5000 0.5000 0.5000
0.0000 0.5000 0.0606
0.5000 0.0000 0.5606
0.0000 0.5000 0.8243
0.0023 0.3475 0.1865
0.4977 0.8475 0.6865
0.5000 0.0000 0.3243
0.5023 0.1525 0.6865
0.9977 0.6525 0.1865
```

Top 6 peaks for 10 to 90 degrees two-theta, low angle first:
2θ/deg  intensity
20.3  77
24.4  52
24.5  30
26.8  100
36.6  68
41.3  70



Number 3 is which compound?
BaCO3



Please write out number 4 again, unchanged.
Diffraction record for BaCO3. The X-ray powder pattern is computed, not measured: it uses a crystal structure in the Materials Project, relaxed with PBE and λ = 1.5418 Å (Cu Kα).
Peak positions follow from Bragg's law for the DFT cell and can differ from measured ones.

Crystal structure
```
BaCO3
1.0
4.1868 0.0000 0.0000
0.0000 7.2952 0.0000
0.0000 0.0000 5.4662
Ba C O
2 2 6
Direct
0.0000 0.0000 0.0000
0.5000 0.5000 0.5000
0.0000 0.5000 0.0606
0.5000 0.0000 0.5606
0.0000 0.5000 0.8243
0.0023 0.3475 0.1865
0.4977 0.8475 0.6865
0.5000 0.0000 0.3243
0.5023 0.1525 0.6865
0.9977 0.6525 0.1865
```

Top 6 peaks for 10 to 90 degrees two-theta, low angle first:
2θ/deg  intensity
20.3  77
24.4  52
24.5  30
26.8  100
36.6  68
41.3  70